As3C4: calculated powder diffraction line list (a wavelength of 1.5418 Å), based on a cell relaxed with GGA-PBE.
Peak positions follow from Bragg's law for the DFT cell and can differ from measured ones.

Atomic structure:
abc: 4.468 4.468 4.468
angles: 90.00 90.00 90.00
Space group P-43m (No. 215)
One atom of each set of equivalent atoms:
As 0.000 0.000 0.500
C 0.256 0.256 0.256

Largest 6 diffraction maxima, in order of rising 2θ, 2θ = 5–70°:
- 4.468 Å, I = 32, (1 0 0)
- 3.159 Å, I = 28, (1 1 0)
- 2.580 Å, I = 100, (1 1 1)
- 2.234 Å, I = 33, (2 0 0)
- 1.580 Å, I = 41, (2 2 0)
- 1.347 Å, I = 38, (3 1 1)


As4C: calculated powder diffraction line list (a wavelength of 1.5418 Å), based on a cell relaxed with GGA-PBE.
Peak positions follow from Bragg's law for the DFT cell and can differ from measured ones.

Atomic structure:
abc: 5.513 5.513 6.629
angles: 90.00 90.00 90.00
Space group I4/mmm (No. 139)
One atom of each set of equivalent atoms:
As 0.000 0.000 0.224
As 0.000 0.500 0.250
C 0.000 0.000 0.500

Largest 6 diffraction maxima, in order of rising 2θ, 2θ = 5–70°:
- 3.315 Å, I = 67, (0 0 2)
- 2.756 Å, I = 100, (2 0 0)
- 2.119 Å, I = 77, (2 0 2)
- 1.949 Å, I = 36, (2 2 0)
- 1.680 Å, I = 37, (2 2 2)
- 1.420 Å, I = 20, (2 0 4)


As4C23: calculated powder diffraction line list (a wavelength of 1.5418 Å), based on a cell relaxed with GGA-PBE.
Peak positions follow from Bragg's law for the DFT cell and can differ from measured ones.

Atomic structure:
abc: 7.435 7.435 7.435
angles: 90.00 90.00 90.00
Space group Pm-3n (No. 223)
One atom of each set of equivalent atoms:
As 0.000 0.000 0.000
As 0.000 0.250 0.500
C 0.000 0.271 0.225
C 0.000 0.500 0.250
C 0.184 0.184 0.184

Largest 6 diffraction maxima, in order of rising 2θ, 2θ = 5–70°:
- 3.325 Å, I = 75, (2 1 0)
- 3.035 Å, I = 100, (2 1 1)
- 2.062 Å, I = 39, (3 2 0)
- 1.987 Å, I = 86, (3 2 1)
- 1.859 Å, I = 46, (4 0 0)
- 1.381 Å, I = 23, (4 3 2)


As5C3: calculated powder diffraction line list (a wavelength of 1.5418 Å), based on a cell relaxed with GGA-PBE.
Peak positions follow from Bragg's law for the DFT cell and can differ from measured ones.

Atomic structure:
abc: 6.183 12.811 7.348
angles: 90.00 110.56 90.00
Space group Cm (No. 8)
One atom of each set of equivalent atoms:
As 0.000 0.000 0.000
As 0.023 0.500 0.997
As 0.238 0.246 0.903
As 0.342 0.378 0.576
As 0.368 0.098 0.424
As 0.476 0.320 0.305
C 0.295 0.391 0.056
C 0.337 0.000 0.188
C 0.413 0.251 0.727
C 0.461 0.500 0.728

Largest 6 diffraction maxima, in order of rising 2θ, 2θ = 5–70°:
- 3.439 Å, I = 40, (0 0 2)
- 3.426 Å, I = 27, (1 1 -2)
- 3.030 Å, I = 25, (0 2 2)
- 2.902 Å, I = 100, (0 4 1)
- 2.778 Å, I = 36, (2 2 -1)
- 2.385 Å, I = 24, (2 0 1)


As7C5: calculated powder diffraction line list (a wavelength of 1.5418 Å), based on a cell relaxed with GGA-PBE.
Peak positions follow from Bragg's law for the DFT cell and can differ from measured ones.

Atomic structure:
abc: 9.983 9.983 5.311
angles: 90.00 90.00 90.00
Space group I4mm (No. 107)
One atom of each set of equivalent atoms:
As 0.000 0.000 0.000
As 0.000 0.244 0.617
As 0.000 0.500 0.483
C 0.000 0.000 0.367
C 0.112 0.112 0.448

Largest 6 diffraction maxima, in order of rising 2θ, 2θ = 5–70°:
- 4.992 Å, I = 96, (2 0 0)
- 4.689 Å, I = 39, (1 0 1)
- 3.418 Å, I = 100, (2 1 1)
- 2.496 Å, I = 65, (4 0 0)
- 2.455 Å, I = 53, (3 2 1)
- 2.122 Å, I = 50, (2 2 2)


As4C: calculated powder diffraction line list (a wavelength of 1.5418 Å), based on a cell relaxed with GGA-PBE.
Peak positions follow from Bragg's law for the DFT cell and can differ from measured ones.

Atomic structure:
abc: 3.6864 3.6864 11.0120
angles: 90.00 90.00 120.00
Space group P-3m1 (No. 164)
One atom of each set of equivalent atoms:
As 0.3333 0.6667 0.0625
As 0.3333 0.6667 0.4244
C 0.0000 0.0000 0.5000

Largest 6 diffraction maxima, in order of rising 2θ, 2θ = 5–70°:
- 5.506 Å, I = 94, (0 0 2)
- 3.192 Å, I = 34, (1 0 0)
- 3.066 Å, I = 38, (1 0 1)
- 2.409 Å, I = 100, (1 0 3)
- 1.843 Å, I = 34, (1 1 0)
- 1.813 Å, I = 30, (1 0 5)